# La3MgCu8
Simulated X-ray powder pattern, Cu Kα (weighted mean of Kα1 and Kα2). Input: a structure optimized by DFT (GGA-PBE).

Structure:
Cell lengths 5.3271, 5.3271, 8.6975 Å; angles 90.00, 90.00, 120.00 degrees
Sites, in units of the cell vectors:
La 0.0000 0.0000 0.0000
La 0.0000 0.0000 0.3913
La 0.3333 0.6667 0.8679
Mg 0.3333 0.6667 0.4963
Cu 0.3429 0.1714 0.6847
Cu 0.5014 0.0027 0.1989
Cu 0.5014 0.4986 0.1989
Cu 0.6667 0.3333 0.4463
Cu 0.6667 0.3333 0.9509
Cu 0.8286 0.1714 0.6847
Cu 0.8286 0.6571 0.6847
Cu 0.9973 0.4986 0.1989

Main lines, most intense first (2θ from 10° to 80°):
two_theta  I_rel  hkl
39.68  100.0  1 1 2
36.61  73.0  0 1 3
40.46  69.2  0 2 1
33.65  42.6  1 1 0
62.12  32.4  1 2 3
67.43  27.6  2 0 5